Computed PXRD pattern of Sr2CaCu2Bi2O9 for Cu Ka, from a PBE-relaxed structure.

Structural model:
```
Sr2CaCu2Bi2O9
1.0
-1.8180 2.0880 15.7441
1.8180 -2.0880 15.7441
1.8180 2.0880 -15.7441
Sr Ca Cu Bi O
2 1 2 2 9
direct
0.0000 0.0000 0.0000
0.2236 0.2236 0.0000
0.1113 0.1113 0.0000
0.5541 0.5541 0.0000
0.6669 0.6669 0.0000
0.4161 0.4161 0.0000
0.8058 0.8058 0.0000
0.0578 0.5578 0.5000
0.1627 0.6627 0.5000
0.2853 0.7853 0.5000
0.3790 0.8790 0.5000
0.4854 0.4854 0.0000
0.5635 0.0635 0.5000
0.6550 0.1550 0.5000
0.7366 0.7366 0.0000
0.9297 0.4297 0.5000
```

Largest 6 diffraction maxima, sorted by position, 10° ≤ 2θ ≤ 90°:
- 25.6°, d = 3.480 Å, intensity 85
- 28.3°, d = 3.149 Å, intensity 92
- 29.2°, d = 3.060 Å, intensity 55
- 32.7°, d = 2.742 Å, intensity 100
- 43.8°, d = 2.068 Å, intensity 49
- 50.2°, d = 1.818 Å, intensity 43

=====

Computed PXRD pattern of Gd2AlFe3 for Cu Ka, from a PBE-relaxed structure.

Structural model:
```
Gd2AlFe3
1.0
2.6305 1.5187 4.2541
-2.6305 1.5187 4.2541
0.0000 -3.0375 4.2541
Gd Al Fe
2 1 3
direct
0.1226 0.1226 0.1226
0.8774 0.8774 0.8774
0.5000 0.5000 0.5000
0.0000 0.5000 0.5000
0.5000 0.0000 0.5000
0.5000 0.5000 0.0000
```

Largest 6 diffraction maxima, sorted by position, 10° ≤ 2θ ≤ 90°:
- 20.7°, d = 4.291 Å, intensity 31
- 34.1°, d = 2.631 Å, intensity 39
- 34.3°, d = 2.614 Å, intensity 58
- 40.3°, d = 2.240 Å, intensity 100
- 40.5°, d = 2.227 Å, intensity 32
- 61.2°, d = 1.515 Å, intensity 22

=====

Computed PXRD pattern of BiTeO4 for Cu Ka, from a PBE-relaxed structure.

Structural model:
```
BiTeO4
1.0
6.4778 -2.8278 0.0000
6.4778 2.8278 0.0000
-4.4693 0.0000 9.4482
Bi Te O
4 4 16
direct
0.0408 0.9592 0.5000
0.6808 0.7702 0.0881
0.7702 0.6808 0.5881
0.9592 0.0408 0.0000
0.1930 0.3505 0.8581
0.3505 0.1930 0.3581
0.4938 0.5082 0.7392
0.5082 0.4938 0.2392
0.0855 0.2818 0.6510
0.1442 0.6559 0.6235
0.2068 0.6406 0.0856
0.2818 0.0855 0.1510
0.2944 0.4903 0.3235
0.3542 0.7935 0.9007
0.3613 0.8433 0.3598
0.4785 0.7279 0.6603
0.4903 0.2944 0.8235
0.6406 0.2068 0.5856
0.6559 0.1442 0.1235
0.7112 0.9195 0.3388
0.7279 0.4785 0.1603
0.7935 0.3542 0.4007
0.8433 0.3613 0.8598
0.9195 0.7112 0.8388
```

Largest 6 diffraction maxima, sorted by position, 10° ≤ 2θ ≤ 90°:
- 27.5°, d = 3.239 Å, intensity 100
- 28.0°, d = 3.181 Å, intensity 97
- 30.5°, d = 2.928 Å, intensity 32
- 31.6°, d = 2.828 Å, intensity 24
- 34.3°, d = 2.612 Å, intensity 25
- 44.5°, d = 2.034 Å, intensity 22

=====

Computed PXRD pattern of TmGePd for Cu Ka, from a PBE-relaxed structure.

Structural model:
```
TmGePd
1.0
-2.2054 10.3511 3.7928
2.2054 -10.3511 3.7928
2.2054 10.3511 -3.7928
Tm Ge Pd
6 6 6
direct
0.0000 0.0000 0.0000
0.0905 0.9241 0.1664
0.3350 0.0022 0.3328
0.4188 0.9188 0.5000
0.6693 0.0022 0.6672
0.7577 0.9241 0.8336
0.0299 0.6227 0.4072
0.0695 0.3064 0.7630
0.2155 0.6227 0.5928
0.5434 0.3064 0.2370
0.5552 0.6204 0.9349
0.6855 0.6204 0.0651
0.1866 0.2917 0.8949
0.3669 0.6354 0.7315
0.3968 0.2917 0.1051
0.7160 0.2887 0.4273
0.8615 0.2887 0.5727
0.9039 0.6354 0.2685
```

Largest 6 diffraction maxima, sorted by position, 10° ≤ 2θ ≤ 90°:
- 33.8°, d = 2.655 Å, intensity 22
- 35.1°, d = 2.557 Å, intensity 100
- 40.9°, d = 2.204 Å, intensity 35
- 41.2°, d = 2.194 Å, intensity 37
- 55.0°, d = 1.669 Å, intensity 17
- 67.4°, d = 1.389 Å, intensity 12

=====

Computed PXRD pattern of Mg14ZrCu for Cu Ka, from a PBE-relaxed structure.

Structural model:
```
Mg14ZrCu
1.0
6.3519 0.0000 0.0000
-3.1759 5.5009 0.0000
0.0000 0.0000 10.0233
Mg Zr Cu
14 1 1
direct
0.0000 0.0000 0.2449
0.0000 0.0000 0.7551
0.0149 0.5074 0.2592
0.0149 0.5074 0.7408
0.3301 0.1651 0.5000
0.3444 0.1722 0.0000
0.4926 0.5074 0.2592
0.4926 0.5074 0.7408
0.4926 0.9851 0.2592
0.4926 0.9851 0.7408
0.8278 0.1722 0.0000
0.8278 0.6556 0.0000
0.8349 0.1651 0.5000
0.8349 0.6699 0.5000
0.3333 0.6667 0.0000
0.3333 0.6667 0.5000
```

Largest 6 diffraction maxima, sorted by position, 10° ≤ 2θ ≤ 90°:
- 16.1°, d = 5.501 Å, intensity 28
- 32.6°, d = 2.750 Å, intensity 27
- 35.8°, d = 2.506 Å, intensity 24
- 37.3°, d = 2.411 Å, intensity 100
- 65.4°, d = 1.428 Å, intensity 17
- 70.2°, d = 1.341 Å, intensity 18

=====

Computed PXRD pattern of Na4Ge2Se5 for Cu Ka, from a PBE-relaxed structure.

Structural model:
```
Na4Ge2Se5
1.0
7.1673 0.0000 0.0000
1.1838 8.1439 0.0000
3.5639 2.5857 9.8826
Na Ge Se
8 4 10
direct
0.0000 0.0000 0.0000
0.0904 0.4787 0.3168
0.2058 0.0009 0.5942
0.2729 0.4907 0.8965
0.5000 0.5000 0.5000
0.7271 0.5093 0.1035
0.7942 0.9991 0.4058
0.9096 0.5213 0.6832
0.3827 0.1580 0.1662
0.4252 0.8449 0.2298
0.5748 0.1551 0.7702
0.6173 0.8420 0.8338
0.0596 0.2467 0.1548
0.1633 0.7501 0.4288
0.2596 0.2465 0.7446
0.3569 0.7451 0.0527
0.4640 0.2547 0.3262
0.5360 0.7453 0.6738
0.6431 0.2549 0.9473
0.7404 0.7535 0.2554
0.8367 0.2499 0.5712
0.9404 0.7533 0.8452
```

Largest 6 diffraction maxima, sorted by position, 10° ≤ 2θ ≤ 90°:
- 22.6°, d = 3.939 Å, intensity 44
- 29.1°, d = 3.065 Å, intensity 47
- 29.4°, d = 3.042 Å, intensity 100
- 43.9°, d = 2.064 Å, intensity 23
- 43.9°, d = 2.061 Å, intensity 22
- 46.1°, d = 1.968 Å, intensity 27

=====

Computed PXRD pattern of ZrI2 for Cu Ka, from a PBE-relaxed structure.

Structural model:
```
ZrI2
1.0
6.9266 0.0000 0.0000
0.0000 3.7753 0.0000
-1.4685 0.0000 16.2588
Zr I
4 8
direct
0.1866 0.2500 0.4968
0.3122 0.7500 0.9967
0.6878 0.2500 0.0033
0.8134 0.7500 0.5032
0.0525 0.7500 0.3644
0.1018 0.2500 0.1007
0.3904 0.2500 0.8643
0.4413 0.7500 0.6006
0.5587 0.2500 0.3994
0.6096 0.7500 0.1357
0.8982 0.7500 0.8993
0.9475 0.2500 0.6356
```

Largest 6 diffraction maxima, sorted by position, 10° ≤ 2θ ≤ 90°:
- 10.9°, d = 8.129 Å, intensity 100
- 26.9°, d = 3.314 Å, intensity 34
- 28.7°, d = 3.114 Å, intensity 67
- 29.6°, d = 3.022 Å, intensity 64
- 32.3°, d = 2.773 Å, intensity 33
- 46.1°, d = 1.968 Å, intensity 32

=====

> What is the formula in the second record?

Gd2AlFe3

=====

> Number 7 is which compound?

ZrI2